Entry 1:
Calculated powder X-ray diffraction pattern
Compound: Cr3O8
Radiation: Cu Kα X-rays
Structure: a DFT-relaxed cell (GGA+U, the Materials Project)
Intensities are scaled so that the largest is 100.

Cell and atoms:
```
data_Cr3O8
_chemical_formula_sum 'Cr6 O16'
_space_group_name_H-M_alt 'P n n m'
_space_group_IT_number 58
_space_group_name_Hall '-P 2 2n'
_cell_length_a 6.6102
_cell_length_b 8.2437
_cell_length_c 5.4921
_cell_angle_alpha 90.00
_cell_angle_beta 90.00
_cell_angle_gamma 90.00
loop_
_atom_site_label
_atom_site_fract_x
_atom_site_fract_y
_atom_site_fract_z
Cr1 0.0000 0.0000 0.0000
Cr2 0.2160 0.1574 0.5000
O1 0.0262 0.2741 0.5000
O2 0.0689 0.7668 0.0000
O3 0.2011 0.0364 0.2471
```

Most intense lines, 2θ = 10–90°, in order of rising 2θ:
index	Position (°2θ)	d_spacing	I/Imax
1 1 0	17.2	5.157	68
1 1 1	23.7	3.759	100
1 2 0	25.5	3.498	52
1 2 1	30.3	2.950	19
0 0 2	32.6	2.746	24
2 1 1	33.5	2.678	44
0 3 1	36.6	2.457	24
0 2 2	39.4	2.285	13
2 4 2	63.0	1.475	16
3 3 2	63.9	1.457	11



Entry 2:
Calculated powder X-ray diffraction pattern
Compound: Cr2O3
Radiation: Cu Kα X-rays
Structure: a DFT-relaxed cell (GGA+U, the Materials Project)
Intensities are scaled so that the largest is 100.

Cell and atoms:
```
data_Cr2O3
_chemical_formula_sum 'Cr32 O48'
_space_group_name_H-M_alt 'I a -3'
_space_group_IT_number 206
_space_group_name_Hall '-I 2b 2c 3'
_cell_length_a 9.4369
_cell_length_b 9.4369
_cell_length_c 9.4369
_cell_angle_alpha 90.00
_cell_angle_beta 90.00
_cell_angle_gamma 90.00
loop_
_atom_site_label
_atom_site_fract_x
_atom_site_fract_y
_atom_site_fract_z
Cr1 0.0000 0.0000 0.0000
Cr2 0.0000 0.2500 0.2884
O1 0.0926 0.1395 0.6341
```

Most intense lines, 2θ = 10–90°, in order of rising 2θ:
index	Position (°2θ)	d_spacing	I/Imax
2 1 1	23.1	3.853	18
2 2 2	32.9	2.724	100
4 0 0	38.1	2.359	14
3 3 2	45.1	2.012	11
4 3 1	49.2	1.851	12
4 4 0	55.0	1.668	42
6 1 1	60.5	1.531	6
5 4 1	63.9	1.456	6
6 2 2	65.6	1.423	20
6 3 1	67.3	1.391	6